(1)
Diffraction record for AlIO. The powder X-ray diffraction pattern is simulated, not measured: it uses a DFT-relaxed cell (GGA-PBE, Alexandria) and CuKα.

Peak list (10 most intense, 2θ = 10–90°, by intensity)
d [Å], 2theta, I_rel
3.587, 24.82, 100
2.083, 43.45, 28
3.039, 29.39, 27
3.303, 27.00, 25
2.918, 30.64, 17
2.559, 35.07, 15
1.788, 51.07, 12
2.187, 41.29, 12
2.023, 44.80, 11
4.954, 17.91, 10

Structure:
a = 5.835 Å, b = 9.908 Å, c = 5.118 Å
α = 90.00°, β = 90.00°, γ = 90.00°
Atoms (fractional coordinates):
Al (0.098, 0.075, 0.000)
Al (0.402, 0.075, 0.500)
Al (0.598, 0.925, 0.000)
Al (0.902, 0.925, 0.500)
I (0.001, 0.686, 0.587)
I (0.499, 0.686, 0.087)
I (0.501, 0.314, 0.587)
I (0.999, 0.314, 0.087)
O (0.130, 0.026, 0.658)
O (0.370, 0.026, 0.158)
O (0.630, 0.974, 0.658)
O (0.870, 0.974, 0.158)

---

(2)
Diffraction record for AlRuPbI2. The powder X-ray diffraction pattern is simulated, not measured: it uses a DFT-relaxed cell (GGA-PBE, Alexandria) and CuKα.

Peak list (10 most intense, 2θ = 10–90°, by intensity)
d [Å], 2theta, I_rel
3.021, 29.56, 100
2.791, 32.07, 49
1.652, 55.63, 34
1.797, 50.81, 27
1.973, 46.00, 18
1.511, 61.37, 15
2.349, 38.33, 15
1.102, 88.78, 12
1.171, 82.33, 11
1.455, 63.97, 11

Structure:
a = 5.581 Å, b = 5.581 Å, c = 4.697 Å
α = 90.00°, β = 90.00°, γ = 90.00°
Atoms (fractional coordinates):
Al (0.000, 0.000, 0.000)
Ru (0.000, 0.000, 0.500)
Pb (0.500, 0.500, 0.500)
I (0.000, 0.500, 0.000)
I (0.500, 0.000, 0.000)

---

(3)
Diffraction record for Pm7AlI12. The powder X-ray diffraction pattern is simulated, not measured: it uses a DFT-relaxed cell (GGA-PBE, Alexandria) and CuKα.

Peak list (10 most intense, 2θ = 10–90°, by intensity)
d [Å], 2theta, I_rel
3.137, 28.45, 100
2.231, 40.43, 38
2.206, 40.91, 36
1.818, 50.17, 19
1.410, 66.31, 16
1.397, 67.00, 15
1.569, 58.87, 13
8.045, 11.00, 12
3.637, 24.48, 12
1.283, 73.85, 11

Structure:
a = 9.956 Å, b = 9.956 Å, c = 9.956 Å
α = 107.81°, β = 107.81°, γ = 107.81°
Atoms (fractional coordinates):
Pm (0.000, 0.000, 0.000)
Pm (0.180, 0.394, 0.465)
Pm (0.394, 0.465, 0.180)
Pm (0.465, 0.180, 0.394)
Pm (0.535, 0.820, 0.606)
Pm (0.606, 0.535, 0.820)
Pm (0.820, 0.606, 0.535)
Al (0.500, 0.500, 0.500)
I (0.029, 0.344, 0.109)
I (0.109, 0.029, 0.344)
I (0.187, 0.731, 0.578)
I (0.269, 0.422, 0.813)
I (0.344, 0.109, 0.029)
I (0.422, 0.813, 0.269)
I (0.578, 0.187, 0.731)
I (0.656, 0.891, 0.971)
I (0.731, 0.578, 0.187)
I (0.813, 0.269, 0.422)
I (0.891, 0.971, 0.656)
I (0.971, 0.656, 0.891)

---

(4)
Diffraction record for Pr4AlI5. The powder X-ray diffraction pattern is simulated, not measured: it uses a DFT-relaxed cell (GGA-PBE, Alexandria) and CuKα.

Peak list (10 most intense, 2θ = 10–90°, by intensity)
d [Å], 2theta, I_rel
3.174, 28.12, 100
3.246, 27.48, 50
2.280, 39.52, 38
2.259, 39.92, 35
2.316, 38.89, 19
1.809, 50.44, 18
2.179, 41.44, 18
2.905, 30.78, 13
3.510, 25.38, 13
1.587, 58.13, 12

Structure:
a = 10.214 Å, b = 10.214 Å, c = 9.263 Å
α = 102.33°, β = 102.33°, γ = 24.64°
Atoms (fractional coordinates):
Pr (0.000, 0.000, 0.226)
Pr (0.000, 0.000, 0.774)
Pr (0.349, 0.349, 0.923)
Pr (0.651, 0.651, 0.077)
Al (0.500, 0.500, 0.000)
I (0.167, 0.167, 0.337)
I (0.172, 0.172, 0.828)
I (0.500, 0.500, 0.500)
I (0.828, 0.828, 0.172)
I (0.833, 0.833, 0.663)

---

(5)
Diffraction record for Pr5Al2I2. The powder X-ray diffraction pattern is simulated, not measured: it uses a DFT-relaxed cell (GGA-PBE, Alexandria) and CuKα.

Peak list (10 most intense, 2θ = 10–90°, by intensity)
d [Å], 2theta, I_rel
2.830, 31.62, 100
2.738, 32.70, 94
2.936, 30.44, 89
2.902, 30.81, 85
3.050, 29.28, 83
2.887, 30.98, 79
2.604, 34.45, 75
3.727, 23.88, 74
2.581, 34.76, 71
3.608, 24.67, 63

Structure:
a = 9.090 Å, b = 9.090 Å, c = 8.260 Å
α = 90.00°, β = 90.00°, γ = 54.70°
Atoms (fractional coordinates):
Pr (0.000, 0.000, 0.000)
Pr (0.042, 0.699, 0.669)
Pr (0.199, 0.542, 0.169)
Pr (0.301, 0.958, 0.669)
Pr (0.458, 0.801, 0.169)
Pr (0.500, 0.500, 0.500)
Pr (0.542, 0.199, 0.831)
Pr (0.699, 0.042, 0.331)
Pr (0.801, 0.458, 0.831)
Pr (0.958, 0.301, 0.331)
Al (0.119, 0.881, 0.383)
Al (0.381, 0.619, 0.883)
Al (0.619, 0.381, 0.117)
Al (0.881, 0.119, 0.617)
I (0.203, 0.203, 0.000)
I (0.297, 0.297, 0.500)
I (0.703, 0.703, 0.500)
I (0.797, 0.797, 0.000)